Entry 1:
For SrC, a DFT-relaxed cell (GGA-PBE, the Materials Project) gives the theoretical powder X-ray diffraction pattern in this record (Cu Kα (λ = 1.5418 Å)).
Peak positions follow from Bragg's law for the DFT cell and can differ from measured ones.

```
SrC
1.0
0.0000 2.8393 2.8393
2.8393 0.0000 2.8393
2.8393 2.8393 0.0000
Sr C
1 1
Direct
0.0000 0.0000 0.0000
0.5000 0.5000 0.5000
```

Top 8 peaks for 2θ from 10° to 80°, low angle first:
27.20°, I = 1000; 31.51°, I = 864; 45.16°, I = 606; 53.52°, I = 485; 56.11°, I = 206; 65.78°, I = 95; 72.56°, I = 201; 74.76°, I = 262



Entry 2:
For Ta3C2, a DFT-relaxed cell (GGA-PBE, the Materials Project) gives the theoretical powder X-ray diffraction pattern in this record (Cu Kα (λ = 1.5418 Å)).
Peak positions follow from Bragg's law for the DFT cell and can differ from measured ones.

```
Ta3C2
1.0
3.1377 0.0000 0.0000
-1.5688 2.7173 0.0000
0.0000 0.0000 30.3266
Ta C
12 8
Direct
0.0000 0.0000 0.1245
0.0000 0.0000 0.2893
0.0000 0.0000 0.7107
0.0000 0.0000 0.8755
0.3333 0.6667 0.3772
0.3333 0.6667 0.5408
0.3333 0.6667 0.7931
0.3333 0.6667 0.9576
0.6667 0.3333 0.0424
0.6667 0.3333 0.2069
0.6667 0.3333 0.4592
0.6667 0.3333 0.6228
0.0000 0.0000 0.4196
0.0000 0.0000 0.5804
0.3333 0.6667 0.0842
0.3333 0.6667 0.2469
0.3333 0.6667 0.6667
0.6667 0.3333 0.3333
0.6667 0.3333 0.7531
0.6667 0.3333 0.9158
```

Top 10 peaks for 2θ from 10° to 80°, low angle first:
33.50°, I = 333; 35.52°, I = 500; 36.22°, I = 969; 39.13°, I = 1000; 44.78°, I = 142; 58.87°, I = 413; 62.26°, I = 211; 68.13°, I = 181; 70.67°, I = 422; 72.98°, I = 160